Entry 1:
The following is a theoretical PXRD pattern of RbPPdS4. It was derived from a DFT-relaxed cell (PBE, OQMD), using Cu Kα X-rays.
Lines closer than 0.1° are merged.

Structure:
```
RbPPdS4
1.0
-4.1476 4.1476 6.2105
4.1476 -4.1476 6.2105
4.1476 4.1476 -6.2105
Rb P Pd S
2 2 2 8
Direct
0.2500 0.2500 0.0000 Rb
0.7500 0.7500 0.0000 Rb
0.2500 0.7500 0.5000 P
0.7500 0.2500 0.5000 P
0.0000 0.5000 0.5000 Pd
0.5000 0.0000 0.5000 Pd
0.0088 0.5088 0.2340 S
0.2252 0.9912 0.5000 S
0.2748 0.7748 0.7660 S
0.4912 0.7252 0.5000 S
0.5088 0.2748 0.5000 S
0.7252 0.2252 0.2340 S
0.7748 0.0088 0.5000 S
0.9912 0.4912 0.7660 S
```

Largest 10 diffraction maxima, low angle first, 5° ≤ 2θ ≤ 70°:
2theta  I (rel.)
15.10  71
20.83  100
21.42  96
30.48  45
36.13  61
37.21  64
42.39  34
46.51  25
49.12  25
53.11  40

***

Entry 2:
The following is a theoretical PXRD pattern of RbTe4PPd. It was derived from a DFT-relaxed cell (PBE, OQMD), using Cu Kα X-rays.
Lines closer than 0.1° are merged.

Structure:
```
RbTe4PPd
1.0
-4.4859 4.4859 7.1997
4.4859 -4.4859 7.1997
4.4859 4.4859 -7.1997
Rb Te P Pd
2 8 2 2
Direct
0.2500 0.2500 0.0000 Rb
0.7500 0.7500 0.0000 Rb
0.0107 0.5107 0.7862 Te
0.2245 0.0107 0.5000 Te
0.2755 0.7755 0.7862 Te
0.4893 0.2755 0.5000 Te
0.5107 0.7245 0.5000 Te
0.7245 0.2245 0.2138 Te
0.7755 0.9893 0.5000 Te
0.9893 0.4893 0.2138 Te
0.2500 0.7500 0.5000 P
0.7500 0.2500 0.5000 P
0.0000 0.5000 0.5000 Pd
0.5000 0.0000 0.5000 Pd
```

Largest 10 diffraction maxima, low angle first, 5° ≤ 2θ ≤ 70°:
2theta  I (rel.)
13.96  76
18.64  27
23.01  100
29.01  78
31.87  38
33.96  20
40.48  37
47.78  47
49.81  23
58.17  20